Entry 1:
Calculated PXRD pattern of Mg6SnSb for λ = 1.5418 Å (Cu Kα), from a DFT-relaxed cell (PBE, the Materials Project).

Structure:
a b c (Å): 5.262 6.522 11.000
angles (deg): 90.00 90.00 90.00
Fractional positions:
Mg (0.000, 0.000, 0.000)
Mg (0.000, 0.000, 0.500)
Mg (0.000, 0.250, 0.251)
Mg (0.000, 0.250, 0.751)
Mg (0.000, 0.500, 0.000)
Mg (0.000, 0.500, 0.500)
Mg (0.000, 0.750, 0.251)
Mg (0.000, 0.750, 0.751)
Mg (0.500, 0.250, 0.417)
Mg (0.500, 0.250, 0.917)
Mg (0.500, 0.750, 0.417)
Mg (0.500, 0.750, 0.917)
Sn (0.500, 0.000, 0.166)
Sn (0.500, 0.500, 0.666)
Sb (0.500, 0.000, 0.666)
Sb (0.500, 0.500, 0.166)

Principal peaks in the range 10° ≤ 2θ ≤ 90°, low angle first:
2θ 16.1, 5.500 Å, rel. 51
2θ 16.8, 5.262 Å, rel. 47
2θ 23.4, 3.802 Å, rel. 44
2θ 31.9, 2.805 Å, rel. 37
2θ 36.3, 2.475 Å, rel. 100
2θ 36.9, 2.437 Å, rel. 48

***

Entry 2:
Calculated PXRD pattern of Mg6SnSb for λ = 1.5418 Å (Cu Kα), from a DFT-relaxed cell (PBE, the Materials Project).

Structure:
a b c (Å): 5.318 6.132 11.616
angles (deg): 90.00 90.00 90.00
Fractional positions:
Mg (0.000, 0.000, 0.000)
Mg (0.000, 0.249, 0.738)
Mg (0.000, 0.251, 0.238)
Mg (0.000, 0.500, 0.500)
Mg (0.000, 0.749, 0.238)
Mg (0.000, 0.751, 0.738)
Mg (0.500, 0.000, 0.155)
Mg (0.500, 0.250, 0.417)
Mg (0.500, 0.250, 0.917)
Mg (0.500, 0.500, 0.655)
Mg (0.500, 0.750, 0.417)
Mg (0.500, 0.750, 0.917)
Sn (0.500, 0.000, 0.683)
Sn (0.500, 0.500, 0.183)
Sb (0.000, 0.000, 0.464)
Sb (0.000, 0.500, 0.964)

Principal peaks in the range 10° ≤ 2θ ≤ 90°, low angle first:
2θ 16.3, 5.423 Å, rel. 54
2θ 22.7, 3.922 Å, rel. 44
2θ 23.4, 3.797 Å, rel. 39
2θ 32.1, 2.788 Å, rel. 28
2θ 33.7, 2.659 Å, rel. 37
2θ 37.2, 2.415 Å, rel. 100

***

Entry 3:
Calculated PXRD pattern of Mg14SnSb for λ = 1.5418 Å (Cu Kα), from a DFT-relaxed cell (PBE, the Materials Project).

Structure:
a b c (Å): 10.344 6.353 6.353
angles (deg): 63.24 90.00 90.00
Fractional positions:
Mg (0.000, 0.000, 0.000)
Mg (0.000, 0.001, 0.501)
Mg (0.000, 0.500, 0.500)
Mg (0.000, 0.501, 0.001)
Mg (0.248, 0.169, 0.169)
Mg (0.249, 0.169, 0.669)
Mg (0.249, 0.669, 0.169)
Mg (0.249, 0.669, 0.669)
Mg (0.500, 0.000, 0.501)
Mg (0.500, 0.501, 0.000)
Mg (0.751, 0.169, 0.669)
Mg (0.751, 0.669, 0.169)
Mg (0.751, 0.669, 0.669)
Mg (0.752, 0.169, 0.169)
Sn (0.500, 0.503, 0.503)
Sb (0.500, 0.004, 0.004)

Principal peaks in the range 10° ≤ 2θ ≤ 90°, low angle first:
2θ 16.4, 5.410 Å, rel. 22
2θ 18.5, 4.794 Å, rel. 34
2θ 31.5, 2.836 Å, rel. 30
2θ 34.7, 2.586 Å, rel. 36
2θ 36.1, 2.487 Å, rel. 100
2θ 37.5, 2.397 Å, rel. 51

***

Entry 4:
Calculated PXRD pattern of Mg14SnSb for λ = 1.5418 Å (Cu Kα), from a DFT-relaxed cell (PBE, the Materials Project).

Structure:
a b c (Å): 6.391 6.391 10.381
angles (deg): 90.00 90.00 120.00
Fractional positions:
Mg (0.000, 0.000, 0.249)
Mg (0.000, 0.000, 0.751)
Mg (0.332, 0.166, 0.000)
Mg (0.333, 0.166, 0.500)
Mg (0.502, 0.004, 0.250)
Mg (0.502, 0.004, 0.750)
Mg (0.502, 0.498, 0.250)
Mg (0.502, 0.498, 0.750)
Mg (0.834, 0.166, 0.000)
Mg (0.834, 0.166, 0.500)
Mg (0.834, 0.667, 0.500)
Mg (0.834, 0.668, 0.000)
Mg (0.996, 0.498, 0.250)
Mg (0.996, 0.498, 0.750)
Sn (0.333, 0.667, 0.500)
Sb (0.333, 0.667, 0.000)

Principal peaks in the range 10° ≤ 2θ ≤ 90°, low angle first:
2θ 16.0, 5.535 Å, rel. 48
2θ 23.5, 3.786 Å, rel. 42
2θ 32.3, 2.768 Å, rel. 30
2θ 34.6, 2.595 Å, rel. 26
2θ 36.8, 2.442 Å, rel. 100
2θ 63.4, 1.467 Å, rel. 20

***

Entry 5:
Calculated PXRD pattern of Mg14TiSb for λ = 1.5418 Å (Cu Kα), from a DFT-relaxed cell (PBE, the Materials Project).

Structure:
a b c (Å): 6.342 6.342 10.301
angles (deg): 90.00 90.00 120.00
Fractional positions:
Mg (0.000, 0.000, 0.248)
Mg (0.000, 0.000, 0.752)
Mg (0.004, 0.502, 0.246)
Mg (0.004, 0.502, 0.754)
Mg (0.331, 0.166, 0.500)
Mg (0.335, 0.168, 0.000)
Mg (0.498, 0.502, 0.246)
Mg (0.498, 0.502, 0.754)
Mg (0.498, 0.996, 0.246)
Mg (0.498, 0.996, 0.754)
Mg (0.832, 0.168, 0.000)
Mg (0.832, 0.665, 0.000)
Mg (0.834, 0.166, 0.500)
Mg (0.834, 0.669, 0.500)
Ti (0.333, 0.667, 0.000)
Sb (0.333, 0.667, 0.500)

Principal peaks in the range 10° ≤ 2θ ≤ 90°, low angle first:
2θ 16.1, 5.492 Å, rel. 27
2θ 23.7, 3.757 Å, rel. 20
2θ 32.6, 2.746 Å, rel. 27
2θ 34.8, 2.575 Å, rel. 26
2θ 37.1, 2.423 Å, rel. 100
2θ 69.6, 1.350 Å, rel. 19

***

Entry 6:
Calculated PXRD pattern of Mg6TiSb for λ = 1.5418 Å (Cu Kα), from a DFT-relaxed cell (PBE, the Materials Project).

Structure:
a b c (Å): 5.264 6.003 11.045
angles (deg): 90.00 90.00 90.00
Fractional positions:
Mg (0.000, 0.000, 0.000)
Mg (0.000, 0.000, 0.494)
Mg (0.000, 0.242, 0.247)
Mg (0.000, 0.258, 0.747)
Mg (0.000, 0.500, 0.500)
Mg (0.000, 0.500, 0.994)
Mg (0.000, 0.742, 0.747)
Mg (0.000, 0.758, 0.247)
Mg (0.500, 0.248, 0.581)
Mg (0.500, 0.252, 0.081)
Mg (0.500, 0.748, 0.081)
Mg (0.500, 0.752, 0.581)
Ti (0.500, 0.000, 0.333)
Ti (0.500, 0.500, 0.833)
Sb (0.500, 0.000, 0.832)
Sb (0.500, 0.500, 0.332)

Principal peaks in the range 10° ≤ 2θ ≤ 90°, low angle first:
2θ 16.0, 5.522 Å, rel. 35
2θ 16.8, 5.268 Å, rel. 53
2θ 23.3, 3.810 Å, rel. 29
2θ 34.0, 2.634 Å, rel. 72
2θ 36.8, 2.445 Å, rel. 54
2θ 38.2, 2.358 Å, rel. 100

***

Entry 7:
Calculated PXRD pattern of Mg14TiSb for λ = 1.5418 Å (Cu Kα), from a DFT-relaxed cell (PBE, the Materials Project).

Structure:
a b c (Å): 10.350 6.389 6.389
angles (deg): 58.94 90.00 90.00
Fractional positions:
Mg (0.000, 0.000, 0.000)
Mg (0.000, 0.000, 0.500)
Mg (0.000, 0.500, 0.000)
Mg (0.000, 0.500, 0.500)
Mg (0.248, 0.168, 0.168)
Mg (0.251, 0.170, 0.663)
Mg (0.251, 0.663, 0.170)
Mg (0.251, 0.665, 0.665)
Mg (0.500, 0.501, 0.998)
Mg (0.500, 0.998, 0.501)
Mg (0.749, 0.170, 0.663)
Mg (0.749, 0.663, 0.170)
Mg (0.749, 0.665, 0.665)
Mg (0.752, 0.168, 0.168)
Ti (0.500, 0.500, 0.500)
Sb (0.500, 0.001, 0.001)

Principal peaks in the range 10° ≤ 2θ ≤ 90°, low angle first:
2θ 18.1, 4.900 Å, rel. 20
2θ 32.7, 2.736 Å, rel. 27
2θ 34.7, 2.587 Å, rel. 40
2θ 36.7, 2.450 Å, rel. 52
2θ 37.2, 2.419 Å, rel. 100
2θ 63.8, 1.459 Å, rel. 20

***

Entry 8:
Calculated PXRD pattern of Mg6TiSb for λ = 1.5418 Å (Cu Kα), from a DFT-relaxed cell (PBE, the Materials Project).

Structure:
a b c (Å): 5.051 6.401 10.738
angles (deg): 90.00 90.00 90.00
Fractional positions:
Mg (0.000, 0.000, 0.000)
Mg (0.000, 0.243, 0.254)
Mg (0.000, 0.257, 0.754)
Mg (0.000, 0.500, 0.500)
Mg (0.000, 0.743, 0.754)
Mg (0.000, 0.757, 0.254)
Mg (0.500, 0.000, 0.168)
Mg (0.500, 0.248, 0.419)
Mg (0.500, 0.252, 0.919)
Mg (0.500, 0.500, 0.668)
Mg (0.500, 0.748, 0.919)
Mg (0.500, 0.752, 0.419)
Ti (0.000, 0.000, 0.504)
Ti (0.000, 0.500, 0.004)
Sb (0.500, 0.000, 0.661)
Sb (0.500, 0.500, 0.161)

Principal peaks in the range 10° ≤ 2θ ≤ 90°, low angle first:
2θ 16.1, 5.498 Å, rel. 62
2θ 23.9, 3.720 Å, rel. 31
2θ 32.6, 2.749 Å, rel. 32
2θ 35.5, 2.526 Å, rel. 39
2θ 37.2, 2.415 Å, rel. 100
2θ 38.0, 2.370 Å, rel. 53